# 1
This entry pairs a crystal structure of MgNb2V2O8 with its calculated powder X-ray diffraction pattern. Radiation: Cu Kα X-rays. Structure: the GGA+U geometry in the Materials Project.
Neutral-atom scattering factors, no anomalous dispersion.

Cell: 6.5271 13.1376 5.0908 Å, 90.00 127.90 90.00°
Space group C2 (No. 5)
Asymmetric unit:
Mg: 0.0000 0.0000 0.0000 (multiplicity 2)
Nb: 0.0000 0.2210 0.0000 (multiplicity 2)
Nb: 0.0000 0.3918 0.5000 (multiplicity 2)
V: 0.0000 0.5676 0.0000 (multiplicity 2)
V: 0.0000 0.8790 0.5000 (multiplicity 2)
O: 0.2062 0.1236 0.9970 (multiplicity 4)
O: 0.2079 0.2787 0.4434 (multiplicity 4)
O: 0.2252 0.4882 0.4748 (multiplicity 4)
O: 0.2375 0.8854 0.0152 (multiplicity 4)

Principal peaks in the range 10 to 90 degrees two-theta, by angle:
4.795 Å, 18.50°, rel. 57; 3.427 Å, 26.00°, rel. 100; 3.289 Å, 27.11°, rel. 59; 2.921 Å, 30.60°, rel. 50; 2.314 Å, 38.91°, rel. 69; 2.009 Å, 45.14°, rel. 35

***

# 2
This entry pairs a crystal structure of Li9Mn2Co5O16 with its calculated powder X-ray diffraction pattern. Radiation: Cu Kα X-rays. Structure: the GGA+U geometry in the Materials Project.
Neutral-atom scattering factors, no anomalous dispersion.

Cell: 10.2856 11.5022 5.1096 Å, 90.00 110.87 90.00°
Space group C2 (No. 5)
Asymmetric unit:
Li: 0.0000 0.9995 0.0000 (multiplicity 2)
Li: 0.2399 0.0000 0.4888 (multiplicity 4)
Li: 0.2441 0.7473 0.5061 (multiplicity 4)
Li: 0.2452 0.8782 0.9893 (multiplicity 4)
Li: 0.2471 0.1197 0.0021 (multiplicity 4)
Mn: 0.0000 0.2453 0.0000 (multiplicity 2)
Mn: 0.0000 0.3738 0.5000 (multiplicity 2)
Co: 0.0000 0.1215 0.5000 (multiplicity 2)
Co: 0.0000 0.4971 0.0000 (multiplicity 2)
Co: 0.0000 0.6238 0.5000 (multiplicity 2)
Co: 0.0000 0.7540 0.0000 (multiplicity 2)
Co: 0.0000 0.8778 0.5000 (multiplicity 2)
O: 0.1085 0.2467 0.7496 (multiplicity 4)
O: 0.1105 0.8692 0.2670 (multiplicity 4)
O: 0.1099 0.9975 0.7168 (multiplicity 4)
O: 0.1114 0.6188 0.2297 (multiplicity 4)
O: 0.1116 0.1327 0.2554 (multiplicity 4)
O: 0.1122 0.7532 0.7358 (multiplicity 4)
O: 0.1144 0.3731 0.2172 (multiplicity 4)
O: 0.1204 0.4964 0.7266 (multiplicity 4)

Principal peaks in the range 10 to 90 degrees two-theta, by angle:
4.805 Å, 18.46°, rel. 100; 2.526 Å, 35.53°, rel. 15; 2.463 Å, 36.47°, rel. 25; 2.111 Å, 42.85°, rel. 29; 2.045 Å, 44.30°, rel. 52; 1.465 Å, 63.50°, rel. 15

***

# 3
This entry pairs a crystal structure of MgV2Zn4O8 with its calculated powder X-ray diffraction pattern. Radiation: Cu Kα X-rays. Structure: the GGA+U geometry in the Materials Project.
Neutral-atom scattering factors, no anomalous dispersion.

Cell: 5.9940 6.1947 9.1492 Å, 90.00 90.00 90.00°
Space group Imm2 (No. 44)
Asymmetric unit:
Mg: 0.0000 0.0000 0.0000 (multiplicity 2)
V: 0.0000 0.2558 0.6837 (multiplicity 4)
Zn: 0.0000 0.0000 0.2858 (multiplicity 2)
Zn: 0.0000 0.5000 0.3338 (multiplicity 2)
Zn: 0.2150 0.5000 0.9848 (multiplicity 4)
O: 0.0000 0.2237 0.4521 (multiplicity 4)
O: 0.0000 0.2780 0.9013 (multiplicity 4)
O: 0.2303 0.0000 0.6976 (multiplicity 4)
O: 0.2416 0.5000 0.6550 (multiplicity 4)

Principal peaks in the range 10 to 90 degrees two-theta, by angle:
5.130 Å, 17.29°, rel. 51; 2.718 Å, 32.95°, rel. 62; 2.635 Å, 34.02°, rel. 100; 2.588 Å, 34.67°, rel. 45; 1.949 Å, 46.59°, rel. 40; 1.568 Å, 58.90°, rel. 45

***

# 4
This entry pairs a crystal structure of K2LiVPO6 with its calculated powder X-ray diffraction pattern. Radiation: Cu Kα X-rays. Structure: the GGA+U geometry in the Materials Project.
Neutral-atom scattering factors, no anomalous dispersion.

Cell: 6.1000 13.5908 8.9327 Å, 90.00 113.63 90.00°
Space group P2_1/c (No. 14)
Asymmetric unit:
K: 0.1165 0.1399 0.4714 (multiplicity 4)
K: 0.1959 0.1032 0.1112 (multiplicity 4)
Li: 0.3356 0.0208 0.8202 (multiplicity 4)
V: 0.4142 0.7059 0.5644 (multiplicity 4)
P: 0.2312 0.6098 0.7954 (multiplicity 4)
O: 0.0197 0.5383 0.7613 (multiplicity 4)
O: 0.1652 0.6878 0.6500 (multiplicity 4)
O: 0.2679 0.6702 0.9536 (multiplicity 4)
O: 0.3093 0.2398 0.7957 (multiplicity 4)
O: 0.4051 0.6023 0.4457 (multiplicity 4)
O: 0.4599 0.5561 0.8069 (multiplicity 4)

Principal peaks in the range 10 to 90 degrees two-theta, by angle:
3.782 Å, 23.52°, rel. 96; 3.080 Å, 28.99°, rel. 66; 3.037 Å, 29.41°, rel. 87; 2.972 Å, 30.07°, rel. 76; 2.850 Å, 31.39°, rel. 100; 2.717 Å, 32.97°, rel. 57

***

# 5
This entry pairs a crystal structure of MgMn4O4F8 with its calculated powder X-ray diffraction pattern. Radiation: Cu Kα X-rays. Structure: the GGA+U geometry in the Materials Project.
Neutral-atom scattering factors, no anomalous dispersion.

Cell: 5.1531 7.4941 8.0765 Å, 111.53 90.05 91.43°
Space group P-1 (No. 2)
Asymmetric unit:
Mg: 0.0000 0.0000 0.0000 (multiplicity 1)
Mn: 0.0972 0.6157 0.7701 (multiplicity 2)
Mn: 0.4266 0.1573 0.8158 (multiplicity 2)
O: 0.1238 0.5070 0.4654 (multiplicity 2)
O: 0.4091 0.9726 0.4364 (multiplicity 2)
F: 0.1868 0.9039 0.7731 (multiplicity 2)
F: 0.2174 0.8064 0.0545 (multiplicity 2)
F: 0.2465 0.2220 0.0795 (multiplicity 2)
F: 0.2921 0.4013 0.8012 (multiplicity 2)

Principal peaks in the range 10 to 90 degrees two-theta, by angle:
7.513 Å, 11.78°, rel. 100; 4.227 Å, 21.02°, rel. 46; 4.048 Å, 21.95°, rel. 72; 3.986 Å, 22.30°, rel. 89; 3.726 Å, 23.88°, rel. 96; 1.863 Å, 48.90°, rel. 41

***

# 6
This entry pairs a crystal structure of Li7V4P6O24 with its calculated powder X-ray diffraction pattern. Radiation: Cu Kα X-rays. Structure: the GGA+U geometry in the Materials Project.
Neutral-atom scattering factors, no anomalous dispersion.

Cell: 8.5213 8.5213 22.8198 Å, 90.00 90.00 120.00°
Space group R3 (No. 146, hexagonal axes)
Asymmetric unit:
Li: 0.0000 0.0000 0.0000 (multiplicity 3)
Li: 0.0118 0.3739 0.7487 (multiplicity 9)
Li: 0.0274 0.6360 0.2516 (multiplicity 9)
V: 0.0000 0.0000 0.1764 (multiplicity 3)
V: 0.0000 0.0000 0.3814 (multiplicity 3)
V: 0.0000 0.0000 0.6863 (multiplicity 3)
V: 0.0000 0.0000 0.8844 (multiplicity 3)
P: 0.0018 0.7065 0.7828 (multiplicity 9)
P: 0.0026 0.2921 0.2849 (multiplicity 9)
O: 0.0089 0.2004 0.2278 (multiplicity 9)
O: 0.0483 0.8399 0.1173 (multiplicity 9)
O: 0.0899 0.8595 0.4299 (multiplicity 9)
O: 0.0935 0.8681 0.7386 (multiplicity 9)
O: 0.1141 0.6755 0.5107 (multiplicity 9)
O: 0.1657 0.4521 0.6140 (multiplicity 9)
O: 0.1804 0.4336 0.0025 (multiplicity 9)
O: 0.2012 0.4437 0.2984 (multiplicity 9)

Principal peaks in the range 10 to 90 degrees two-theta, by angle:
6.197 Å, 14.29°, rel. 51; 4.514 Å, 19.67°, rel. 52; 3.717 Å, 23.94°, rel. 100; 3.098 Å, 28.82°, rel. 39; 2.837 Å, 31.53°, rel. 59; 2.460 Å, 36.53°, rel. 19

***

# 7
This entry pairs a crystal structure of Li2TiNi2O5 with its calculated powder X-ray diffraction pattern. Radiation: Cu Kα X-rays. Structure: the GGA+U geometry in the Materials Project.
Neutral-atom scattering factors, no anomalous dispersion.

Cell: 5.1515 14.5552 5.1830 Å, 90.00 111.24 90.00°
Space group C2 (No. 5)
Asymmetric unit:
Li: 0.0000 0.0000 0.0000 (multiplicity 2)
Li: 0.0000 0.0998 0.5000 (multiplicity 2)
Li: 0.0000 0.3980 0.0000 (multiplicity 2)
Li: 0.0000 0.6957 0.5000 (multiplicity 2)
Ti: 0.0000 0.5973 0.0000 (multiplicity 2)
Ti: 0.0000 0.8980 0.5000 (multiplicity 2)
Ni: 0.0000 0.1982 0.0000 (multiplicity 2)
Ni: 0.0000 0.2944 0.5000 (multiplicity 2)
Ni: 0.0000 0.4998 0.5000 (multiplicity 2)
Ni: 0.0000 0.7992 0.0000 (multiplicity 2)
O: 0.2276 0.5982 0.7735 (multiplicity 4)
O: 0.2355 0.8968 0.2716 (multiplicity 4)
O: 0.2411 0.8037 0.7414 (multiplicity 4)
O: 0.2484 0.4984 0.2558 (multiplicity 4)
O: 0.2485 0.6952 0.2351 (multiplicity 4)

Principal peaks in the range 10 to 90 degrees two-theta, by angle:
4.025 Å, 22.08°, rel. 63; 3.413 Å, 26.11°, rel. 46; 2.404 Å, 37.41°, rel. 50; 2.132 Å, 42.39°, rel. 55; 2.061 Å, 43.93°, rel. 100; 1.485 Å, 62.54°, rel. 29

***

# 8
This entry pairs a crystal structure of Mn2O3F with its calculated powder X-ray diffraction pattern. Radiation: Cu Kα X-rays. Structure: the GGA+U geometry in the Materials Project.
Neutral-atom scattering factors, no anomalous dispersion.

Cell: 15.1689 6.3327 6.6575 Å, 90.00 90.00 90.00°
Space group Amm2 (No. 38)
Asymmetric unit:
Mn: 0.0000 0.0000 0.0000 (multiplicity 2)
Mn: 0.0997 0.0000 0.5244 (multiplicity 4)
Mn: 0.1995 0.0000 0.0428 (multiplicity 4)
Mn: 0.2990 0.0000 0.5088 (multiplicity 4)
Mn: 0.3998 0.0000 0.0362 (multiplicity 4)
Mn: 0.5000 0.0000 0.5037 (multiplicity 2)
O: 0.0000 0.0000 0.7116 (multiplicity 2)
O: 0.1000 0.1912 0.0192 (multiplicity 8)
O: 0.1992 0.0000 0.3322 (multiplicity 4)
O: 0.2993 0.1942 0.0304 (multiplicity 8)
O: 0.4002 0.0000 0.3268 (multiplicity 4)
O: 0.5000 0.1937 0.0246 (multiplicity 4)
F: 0.0000 0.0000 0.3016 (multiplicity 2)
F: 0.2047 0.0000 0.7348 (multiplicity 4)
F: 0.3995 0.0000 0.7166 (multiplicity 4)

Principal peaks in the range 10 to 90 degrees two-theta, by angle:
3.329 Å, 26.78°, rel. 90; 3.166 Å, 28.18°, rel. 92; 2.531 Å, 35.47°, rel. 100; 1.724 Å, 53.14°, rel. 55; 1.677 Å, 54.74°, rel. 53; 1.366 Å, 68.73°, rel. 37